Record 1
Diffraction record for PrNdNiI. The X-ray powder pattern is computed, not measured: it uses a DFT-relaxed cell (GGA-PBE, Alexandria) and Cu Kα (weighted mean of Kα1 and Kα2).
Neutral-atom scattering factors, no anomalous dispersion.

The 6 most intense peaks (5 to 70 degrees two-theta), in order of rising 2θ:
- 2θ 25.02, d = 3.559 Å, I 20.6
- 2θ 28.83, d = 3.096 Å, I 49.5
- 2θ 30.91, d = 2.893 Å, I 100.0
- 2θ 43.57, d = 2.077 Å, I 48.9
- 2θ 54.38, d = 1.687 Å, I 20.0
- 2θ 55.82, d = 1.647 Å, I 23.3

Cell and atoms:
Cell: 4.154 4.154 24.321 Å, 90.00 90.00 120.00°
Sites, in units of the cell vectors:
1 Pr 0.000 0.000 0.000
2 Pr 0.333 0.667 0.667
3 Pr 0.667 0.333 0.333
4 Nd 0.000 0.000 0.788
5 Nd 0.333 0.667 0.455
6 Nd 0.667 0.333 0.122
7 Ni 0.000 0.000 0.395
8 Ni 0.333 0.667 0.061
9 Ni 0.667 0.333 0.728
10 I 0.000 0.000 0.561
11 I 0.333 0.667 0.228
12 I 0.667 0.333 0.894

***

Record 2
Diffraction record for IrPb2Se. The X-ray powder pattern is computed, not measured: it uses a DFT-relaxed cell (GGA-PBE, Alexandria) and Cu Kα (weighted mean of Kα1 and Kα2).
Neutral-atom scattering factors, no anomalous dispersion.

The 6 most intense peaks (5 to 70 degrees two-theta), in order of rising 2θ:
- 2θ 9.41, d = 9.400 Å, I 17.6
- 2θ 28.48, d = 3.133 Å, I 15.9
- 2θ 31.59, d = 2.832 Å, I 100.0
- 2θ 33.03, d = 2.712 Å, I 16.6
- 2θ 38.73, d = 2.325 Å, I 41.7
- 2θ 51.15, d = 1.786 Å, I 29.8

Cell and atoms:
Cell: 3.571 3.571 28.201 Å, 90.00 90.00 120.00°
Sites, in units of the cell vectors:
1 Ir 0.000 0.000 0.000
2 Ir 0.333 0.667 0.667
3 Ir 0.667 0.333 0.333
4 Pb 0.000 0.000 0.255
5 Pb 0.000 0.000 0.488
6 Pb 0.333 0.667 0.155
7 Pb 0.333 0.667 0.922
8 Pb 0.667 0.333 0.588
9 Pb 0.667 0.333 0.821
10 Se 0.000 0.000 0.710
11 Se 0.333 0.667 0.377
12 Se 0.667 0.333 0.044

***

Record 3
Diffraction record for Th3GeBi2. The X-ray powder pattern is computed, not measured: it uses a DFT-relaxed cell (GGA-PBE, Alexandria) and Cu Kα (weighted mean of Kα1 and Kα2).
Neutral-atom scattering factors, no anomalous dispersion.

The 6 most intense peaks (5 to 70 degrees two-theta), in order of rising 2θ:
- 2θ 28.04, d = 3.183 Å, I 100.0
- 2θ 40.06, d = 2.251 Å, I 50.5
- 2θ 40.39, d = 2.233 Å, I 12.5
- 2θ 49.35, d = 1.847 Å, I 13.2
- 2θ 49.88, d = 1.828 Å, I 13.4
- 2θ 57.95, d = 1.591 Å, I 13.0

Cell and atoms:
Cell: 14.834 14.144 7.818 Å, 79.29 69.52 31.19°
Sites, in units of the cell vectors:
1 Th 0.039 0.535 0.188
2 Th 0.099 0.651 0.651
3 Th 0.188 0.738 0.039
4 Th 0.262 0.812 0.465
5 Th 0.349 0.901 0.901
6 Th 0.465 0.961 0.262
7 Th 0.535 0.039 0.738
8 Th 0.651 0.099 0.099
9 Th 0.738 0.188 0.535
10 Th 0.812 0.262 0.961
11 Th 0.901 0.349 0.349
12 Th 0.961 0.465 0.812
13 Ge 0.041 0.041 0.209
14 Ge 0.209 0.209 0.041
15 Ge 0.791 0.791 0.959
16 Ge 0.959 0.959 0.791
17 Bi 0.129 0.129 0.621
18 Bi 0.295 0.295 0.455
19 Bi 0.379 0.379 0.871
20 Bi 0.455 0.455 0.295
21 Bi 0.545 0.545 0.705
22 Bi 0.621 0.621 0.129
23 Bi 0.705 0.705 0.545
24 Bi 0.871 0.871 0.379

***

Record 4
Diffraction record for PuCdBr4. The X-ray powder pattern is computed, not measured: it uses a DFT-relaxed cell (GGA-PBE, Alexandria) and Cu Kα (weighted mean of Kα1 and Kα2).
Neutral-atom scattering factors, no anomalous dispersion.

The 6 most intense peaks (5 to 70 degrees two-theta), in order of rising 2θ:
- 2θ 13.19, d = 6.714 Å, I 100.0
- 2θ 26.77, d = 3.331 Å, I 47.1
- 2θ 27.42, d = 3.252 Å, I 92.0
- 2θ 36.04, d = 2.492 Å, I 60.8
- 2θ 41.26, d = 2.188 Å, I 36.9
- 2θ 47.35, d = 1.920 Å, I 24.5

Cell and atoms:
Cell: 6.714 4.260 7.651 Å, 90.00 90.27 90.00°
Sites, in units of the cell vectors:
1 Pu 0.000 0.000 0.000
2 Cd 0.000 0.500 0.500
3 Br 0.224 0.000 0.666
4 Br 0.236 0.500 0.173
5 Br 0.764 0.500 0.827
6 Br 0.776 0.000 0.334

***

Record 5
Diffraction record for V6Mo2Pt. The X-ray powder pattern is computed, not measured: it uses a DFT-relaxed cell (GGA-PBE, Alexandria) and Cu Kα (weighted mean of Kα1 and Kα2).
Neutral-atom scattering factors, no anomalous dispersion.

The 6 most intense peaks (5 to 70 degrees two-theta), in order of rising 2θ:
- 2θ 14.62, d = 6.059 Å, I 40.6
- 2θ 21.24, d = 4.182 Å, I 30.4
- 2θ 28.19, d = 3.166 Å, I 41.1
- 2θ 40.10, d = 2.249 Å, I 59.1
- 2θ 40.49, d = 2.228 Å, I 47.9
- 2θ 41.48, d = 2.177 Å, I 100.0

Cell and atoms:
Cell: 6.941 6.941 6.941 Å, 142.55 136.90 58.40°
Sites, in units of the cell vectors:
1 V 0.054 0.807 0.247
2 V 0.241 0.000 0.241
3 V 0.440 0.193 0.247
4 V 0.560 0.807 0.753
5 V 0.759 0.000 0.759
6 V 0.946 0.193 0.753
7 Mo 0.108 0.608 0.500
8 Mo 0.892 0.392 0.500
9 Pt 0.500 0.500 0.000

***

Record 6
Diffraction record for CePr4Sm7. The X-ray powder pattern is computed, not measured: it uses a DFT-relaxed cell (GGA-PBE, Alexandria) and Cu Kα (weighted mean of Kα1 and Kα2).
Neutral-atom scattering factors, no anomalous dispersion.

The 6 most intense peaks (5 to 70 degrees two-theta), in order of rising 2θ:
- 2θ 30.04, d = 2.975 Å, I 100.0
- 2θ 34.82, d = 2.577 Å, I 50.5
- 2θ 50.07, d = 1.822 Å, I 35.7
- 2θ 59.48, d = 1.554 Å, I 31.4
- 2θ 59.54, d = 1.553 Å, I 10.8
- 2θ 62.46, d = 1.487 Å, I 9.3

Cell and atoms:
Cell: 3.641 3.641 35.753 Å, 90.00 90.00 120.00°
Sites, in units of the cell vectors:
1 Ce 0.000 0.000 0.000
2 Pr 0.333 0.667 0.165
3 Pr 0.333 0.667 0.416
4 Pr 0.667 0.333 0.584
5 Pr 0.667 0.333 0.835
6 Sm 0.000 0.000 0.248
7 Sm 0.000 0.000 0.500
8 Sm 0.000 0.000 0.752
9 Sm 0.333 0.667 0.669
10 Sm 0.333 0.667 0.921
11 Sm 0.667 0.333 0.079
12 Sm 0.667 0.333 0.331

***

Record 7
Diffraction record for Tb2Er6Tl. The X-ray powder pattern is computed, not measured: it uses a DFT-relaxed cell (GGA-PBE, Alexandria) and Cu Kα (weighted mean of Kα1 and Kα2).
Neutral-atom scattering factors, no anomalous dispersion.

The 6 most intense peaks (5 to 70 degrees two-theta), in order of rising 2θ:
- 2θ 31.98, d = 2.798 Å, I 49.0
- 2θ 33.10, d = 2.706 Å, I 35.0
- 2θ 33.37, d = 2.685 Å, I 100.0
- 2θ 33.60, d = 2.667 Å, I 33.2
- 2θ 33.88, d = 2.646 Å, I 28.8
- 2θ 52.08, d = 1.756 Å, I 24.4

Cell and atoms:
Cell: 6.598 9.074 10.534 Å, 67.26 73.74 71.15°
Sites, in units of the cell vectors:
1 Tb 0.045 0.190 0.430
2 Tb 0.279 0.463 0.469
3 Tb 0.721 0.537 0.531
4 Tb 0.955 0.810 0.570
5 Er 0.040 0.199 0.764
6 Er 0.073 0.188 0.083
7 Er 0.274 0.474 0.797
8 Er 0.276 0.470 0.132
9 Er 0.394 0.859 0.651
10 Er 0.403 0.862 0.299
11 Er 0.597 0.138 0.701
12 Er 0.606 0.141 0.349
13 Er 0.724 0.530 0.868
14 Er 0.726 0.526 0.203
15 Er 0.927 0.812 0.917
16 Er 0.960 0.801 0.236
17 Tl 0.381 0.848 0.979
18 Tl 0.619 0.152 0.021

***

Record 8
Diffraction record for Li5Ag7. The X-ray powder pattern is computed, not measured: it uses a DFT-relaxed cell (GGA-PBE, Alexandria) and Cu Kα (weighted mean of Kα1 and Kα2).
Neutral-atom scattering factors, no anomalous dispersion.

The 6 most intense peaks (5 to 70 degrees two-theta), in order of rising 2θ:
- 2θ 15.03, d = 5.893 Å, I 15.6
- 2θ 23.31, d = 3.815 Å, I 20.0
- 2θ 38.32, d = 2.349 Å, I 100.0
- 2θ 44.38, d = 2.041 Å, I 16.1
- 2θ 44.49, d = 2.037 Å, I 16.2
- 2θ 44.76, d = 2.025 Å, I 15.7

Cell and atoms:
Cell: 6.407 6.407 9.108 Å, 114.84 114.84 37.07°
Sites, in units of the cell vectors:
1 Li 0.000 0.000 0.000
2 Li 0.159 0.159 0.498
3 Li 0.254 0.254 0.240
4 Li 0.746 0.746 0.760
5 Li 0.841 0.841 0.502
6 Ag 0.083 0.083 0.750
7 Ag 0.336 0.336 0.997
8 Ag 0.409 0.409 0.742
9 Ag 0.500 0.500 0.500
10 Ag 0.591 0.591 0.258
11 Ag 0.664 0.664 0.003
12 Ag 0.917 0.917 0.250

***

Record 9
Diffraction record for Sm4SbS2N. The X-ray powder pattern is computed, not measured: it uses a DFT-relaxed cell (GGA-PBE, Alexandria) and Cu Kα (weighted mean of Kα1 and Kα2).
Neutral-atom scattering factors, no anomalous dispersion.

The 6 most intense peaks (5 to 70 degrees two-theta), in order of rising 2θ:
- 2θ 28.22, d = 3.162 Å, I 86.3
- 2θ 29.75, d = 3.003 Å, I 100.0
- 2θ 35.06, d = 2.559 Å, I 24.9
- 2θ 38.97, d = 2.311 Å, I 25.6
- 2θ 53.42, d = 1.715 Å, I 29.7
- 2θ 57.34, d = 1.607 Å, I 25.3

Cell and atoms:
Cell: 7.238 7.238 8.042 Å, 90.00 90.00 90.00°
Sites, in units of the cell vectors:
1 Sm 0.185 0.185 0.162
2 Sm 0.185 0.815 0.838
3 Sm 0.315 0.315 0.662
4 Sm 0.315 0.685 0.338
5 Sm 0.685 0.315 0.338
6 Sm 0.685 0.685 0.662
7 Sm 0.815 0.185 0.838
8 Sm 0.815 0.815 0.162
9 Sb 0.000 0.000 0.500
10 Sb 0.500 0.500 0.000
11 S 0.000 0.500 0.250
12 S 0.000 0.500 0.750
13 S 0.500 0.000 0.250
14 S 0.500 0.000 0.750
15 N 0.000 0.000 0.000
16 N 0.500 0.500 0.500

***

Record 10
Diffraction record for Nd2Dy2AlGa4. The X-ray powder pattern is computed, not measured: it uses a DFT-relaxed cell (GGA-PBE, Alexandria) and Cu Kα (weighted mean of Kα1 and Kα2).
Neutral-atom scattering factors, no anomalous dispersion.

The 6 most intense peaks (5 to 70 degrees two-theta), in order of rising 2θ:
- 2θ 25.28, d = 3.523 Å, I 18.3
- 2θ 32.38, d = 2.765 Å, I 100.0
- 2θ 36.05, d = 2.491 Å, I 53.9
- 2θ 41.77, d = 2.163 Å, I 17.7
- 2θ 51.91, d = 1.762 Å, I 18.9
- 2θ 62.52, d = 1.486 Å, I 30.2

Cell and atoms:
Cell: 6.687 6.687 6.687 Å, 116.42 116.42 96.33°
Sites, in units of the cell vectors:
1 Nd 0.250 0.750 0.500
2 Nd 0.750 0.250 0.500
3 Dy 0.185 0.185 0.000
4 Dy 0.815 0.815 0.000
5 Al 0.500 0.500 0.000
6 Ga 0.250 0.250 0.501
7 Ga 0.250 0.750 0.000
8 Ga 0.750 0.250 0.000
9 Ga 0.750 0.750 0.499

***

Record 11
Diffraction record for PmSbTe2O. The X-ray powder pattern is computed, not measured: it uses a DFT-relaxed cell (GGA-PBE, Alexandria) and Cu Kα (weighted mean of Kα1 and Kα2).
Neutral-atom scattering factors, no anomalous dispersion.

The 6 most intense peaks (5 to 70 degrees two-theta), in order of rising 2θ:
- 2θ 27.13, d = 3.286 Å, I 59.9
- 2θ 30.06, d = 2.973 Å, I 100.0
- 2θ 35.53, d = 2.527 Å, I 47.2
- 2θ 37.87, d = 2.376 Å, I 31.3
- 2θ 43.03, d = 2.102 Å, I 42.4
- 2θ 56.99, d = 1.616 Å, I 23.9

Cell and atoms:
Cell: 4.204 4.204 15.806 Å, 90.00 90.00 90.00°
Sites, in units of the cell vectors:
1 Pm 0.250 0.250 0.070
2 Pm 0.750 0.750 0.930
3 Sb 0.250 0.250 0.640
4 Sb 0.750 0.750 0.360
5 Te 0.250 0.250 0.401
6 Te 0.250 0.250 0.817
7 Te 0.750 0.750 0.183
8 Te 0.750 0.750 0.599
9 O 0.250 0.750 0.000
10 O 0.750 0.250 0.000

***

Record 12
Diffraction record for ZrAs4. The X-ray powder pattern is computed, not measured: it uses a DFT-relaxed cell (GGA-PBE, Alexandria) and Cu Kα (weighted mean of Kα1 and Kα2).
Neutral-atom scattering factors, no anomalous dispersion.

The 6 most intense peaks (5 to 70 degrees two-theta), in order of rising 2θ:
- 2θ 36.61, d = 2.455 Å, I 100.0
- 2θ 38.75, d = 2.324 Å, I 38.2
- 2θ 49.36, d = 1.846 Å, I 11.9
- 2θ 57.42, d = 1.605 Å, I 13.5
- 2θ 64.46, d = 1.445 Å, I 16.6
- 2θ 68.75, d = 1.365 Å, I 19.9

Cell and atoms:
Cell: 7.348 7.348 3.692 Å, 90.00 90.00 90.00°
Sites, in units of the cell vectors:
1 Zr 0.000 0.000 0.000
2 Zr 0.500 0.500 0.500
3 As 0.145 0.305 0.500
4 As 0.195 0.645 0.000
5 As 0.305 0.855 0.500
6 As 0.355 0.195 0.000
7 As 0.645 0.805 0.000
8 As 0.695 0.145 0.500
9 As 0.805 0.355 0.000
10 As 0.855 0.695 0.500